This entry pairs a crystal structure of Li3Ti2V3O10 with its theoretical XRD peak list. Radiation: copper Kα. Structure: the PBE+U geometry in the Materials Project.
Intensities are scaled so that the largest is 100.

Principal peaks in the range 5° ≤ 2θ ≤ 70°, low angle first:
12.12 deg, d = 7.300 Å, I = 68, hkl 0 1 -1; 17.93 deg, d = 4.948 Å, I = 40, hkl 0 1 1; 18.20 deg, d = 4.874 Å, I = 100, hkl 1 0 -1; 22.28 deg, d = 3.991 Å, I = 22, hkl 1 0 1; 26.74 deg, d = 3.334 Å, I = 40, hkl 1 -2 1; 35.91 deg, d = 2.501 Å, I = 21, hkl 1 -2 3; 40.21 deg, d = 2.243 Å, I = 65, hkl 1 3 -2; 43.70 deg, d = 2.071 Å, I = 53, hkl 2 -2 2; 44.02 deg, d = 2.057 Å, I = 50, hkl -1 1 4; 61.83 deg, d = 1.501 Å, I = 32, hkl 1 -5 4

Structure:
```
data_Li3Ti2V3O10
_chemical_formula_sum 'Li6 Ti4 V6 O20'
_space_group_name_H-M_alt 'P 1'
_space_group_IT_number 1
_space_group_name_Hall 'P 1'
_cell_length_a 5.146
_cell_length_b 8.098
_cell_length_c 10.171
_cell_angle_alpha 110.28
_cell_angle_beta 99.96
_cell_angle_gamma 97.90
loop_
_atom_site_label
_atom_site_type_symbol
_atom_site_fract_x
_atom_site_fract_y
_atom_site_fract_z
Li1 Li 0.000 0.000 0.000
Li2 Li 0.104 0.693 0.589
Li3 Li 0.396 0.807 0.911
Li4 Li 0.500 0.500 0.500
Li5 Li 0.604 0.193 0.089
Li6 Li 0.896 0.307 0.411
Ti1 Ti 0.187 0.401 0.213
Ti2 Ti 0.312 0.100 0.287
Ti3 Ti 0.688 0.900 0.713
Ti4 Ti 0.813 0.599 0.787
V1 V 0.000 0.000 0.500
V2 V 0.069 0.707 0.105
V3 V 0.431 0.794 0.395
V4 V 0.500 0.500 0.000
V5 V 0.569 0.206 0.605
V6 V 0.931 0.293 0.895
O1 O 0.007 0.814 0.790
O2 O 0.095 0.871 0.310
O3 O 0.132 0.552 0.908
O4 O 0.200 0.562 0.396
O5 O 0.228 0.216 0.488
O6 O 0.272 0.284 0.012
O7 O 0.299 0.938 0.104
O8 O 0.368 0.948 0.592
O9 O 0.404 0.630 0.190
O10 O 0.493 0.685 0.710
O11 O 0.507 0.315 0.290
O12 O 0.596 0.370 0.810
O13 O 0.632 0.052 0.408
O14 O 0.701 0.062 0.896
O15 O 0.728 0.716 0.988
O16 O 0.772 0.784 0.512
O17 O 0.800 0.438 0.604
O18 O 0.868 0.448 0.092
O19 O 0.905 0.129 0.690
O20 O 0.993 0.186 0.210
```

***

This entry pairs a crystal structure of Li2TiV3O8 with its theoretical XRD peak list. Radiation: copper Kα. Structure: the PBE+U geometry in the Materials Project.
Intensities are scaled so that the largest is 100.

Principal peaks in the range 5° ≤ 2θ ≤ 70°, low angle first:
18.11 deg, d = 4.899 Å, I = 100, hkl 0 0 2; 18.21 deg, d = 4.871 Å, I = 33, hkl -1 1 1; 35.00 deg, d = 2.563 Å, I = 16, hkl 1 -1 3; 35.14 deg, d = 2.554 Å, I = 34, hkl 1 1 -3; 35.26 deg, d = 2.545 Å, I = 10, hkl -2 1 3; 42.54 deg, d = 2.125 Å, I = 27, hkl 2 -2 2; 42.76 deg, d = 2.115 Å, I = 52, hkl 0 2 2; 56.43 deg, d = 1.631 Å, I = 9, hkl 0 2 4; 61.72 deg, d = 1.503 Å, I = 16, hkl 2 0 4; 62.05 deg, d = 1.496 Å, I = 23, hkl 2 -4 0

Structure:
```
data_Li2TiV3O8
_chemical_formula_sum 'Li4 Ti2 V6 O16'
_space_group_name_H-M_alt 'P 1'
_space_group_IT_number 1
_space_group_name_Hall 'P 1'
_cell_length_a 5.980
_cell_length_b 5.982
_cell_length_c 10.386
_cell_angle_alpha 90.39
_cell_angle_beta 106.33
_cell_angle_gamma 119.92
loop_
_atom_site_label
_atom_site_type_symbol
_atom_site_fract_x
_atom_site_fract_y
_atom_site_fract_z
Li1 Li 0.000 0.000 0.000
Li2 Li 0.007 0.509 0.501
Li3 Li 0.246 0.626 0.873
Li4 Li 0.255 0.133 0.372
Ti1 Ti 0.627 0.068 0.683
Ti2 Ti 0.634 0.572 0.190
V1 V 0.128 0.566 0.186
V2 V 0.129 0.070 0.689
V3 V 0.619 0.309 0.936
V4 V 0.627 0.067 0.183
V5 V 0.627 0.568 0.687
V6 V 0.631 0.821 0.436
O1 O 0.361 0.405 0.797
O2 O 0.383 0.968 0.802
O3 O 0.390 0.192 0.579
O4 O 0.394 0.473 0.303
O5 O 0.395 0.698 0.079
O6 O 0.409 0.941 0.301
O7 O 0.412 0.208 0.071
O8 O 0.417 0.717 0.570
O9 O 0.833 0.414 0.805
O10 O 0.845 0.922 0.299
O11 O 0.856 0.192 0.076
O12 O 0.856 0.654 0.068
O13 O 0.858 0.437 0.294
O14 O 0.864 0.942 0.793
O15 O 0.869 0.172 0.573
O16 O 0.886 0.734 0.571
```

***

This entry pairs a crystal structure of Li2TiV3O8 with its theoretical XRD peak list. Radiation: copper Kα. Structure: the PBE+U geometry in the Materials Project.
Intensities are scaled so that the largest is 100.

Principal peaks in the range 5° ≤ 2θ ≤ 70°, low angle first:
18.54 deg, d = 4.785 Å, I = 92, hkl 0 0 2; 19.54 deg, d = 4.544 Å, I = 100, hkl 0 1 -1; 19.66 deg, d = 4.516 Å, I = 51, hkl 1 1 -1; 32.98 deg, d = 2.716 Å, I = 38, hkl 1 1 3; 35.45 deg, d = 2.532 Å, I = 36, hkl 1 -1 2; 35.59 deg, d = 2.522 Å, I = 25, hkl 2 1 2; 35.97 deg, d = 2.497 Å, I = 26, hkl 0 2 1; 36.17 deg, d = 2.483 Å, I = 38, hkl 2 0 1; 39.71 deg, d = 2.270 Å, I = 36, hkl 0 2 -2; 45.21 deg, d = 2.006 Å, I = 47, hkl 0 2 -3

Structure:
```
data_Li2TiV3O8
_chemical_formula_sum 'Li4 Ti2 V6 O16'
_space_group_name_H-M_alt 'P 1'
_space_group_IT_number 1
_space_group_name_Hall 'P 1'
_cell_length_a 5.919
_cell_length_b 5.952
_cell_length_c 9.570
_cell_angle_alpha 89.68
_cell_angle_beta 89.66
_cell_angle_gamma 60.35
loop_
_atom_site_label
_atom_site_type_symbol
_atom_site_fract_x
_atom_site_fract_y
_atom_site_fract_z
Li1 Li 0.000 0.000 0.000
Li2 Li 0.004 0.989 0.500
Li3 Li 0.351 0.327 0.100
Li4 Li 0.685 0.660 0.600
Ti1 Ti 0.342 0.331 0.498
Ti2 Ti 0.673 0.653 0.999
V1 V 0.180 0.652 0.783
V2 V 0.183 0.167 0.781
V3 V 0.354 0.825 0.282
V4 V 0.664 0.165 0.772
V5 V 0.837 0.821 0.272
V6 V 0.842 0.338 0.282
O1 O 0.002 0.987 0.187
O2 O 0.057 0.469 0.653
O3 O 0.178 0.162 0.399
O4 O 0.184 0.657 0.400
O5 O 0.343 0.826 0.900
O6 O 0.372 0.307 0.892
O7 O 0.497 0.472 0.654
O8 O 0.503 0.034 0.648
O9 O 0.532 0.518 0.153
O10 O 0.536 0.956 0.152
O11 O 0.671 0.170 0.398
O12 O 0.693 0.677 0.393
O13 O 0.837 0.335 0.902
O14 O 0.844 0.822 0.896
O15 O 0.975 0.519 0.152
O16 O 0.996 0.008 0.688
```